The following is a theoretical powder XRD pattern of NaTl2Mo2O7. It was derived from a crystal structure in Alexandria, relaxed with GGA+U, using Cu Kα X-rays.
Peak positions follow from Bragg's law for the DFT cell and can differ from measured ones.

```
data_NaTl2Mo2O7
_chemical_formula_sum 'Na2 Tl4 Mo4 O14'
_symmetry_space_group_name_H-M 'C 1 2/m 1'
_symmetry_Int_Tables_number 12
_symmetry_space_group_name_Hall '-C 2y'
_cell_length_a 5.589
_cell_length_b 5.589
_cell_length_c 12.004
_cell_angle_alpha 90.00
_cell_angle_beta 103.35
_cell_angle_gamma 90.00
loop_
_atom_site_label
_atom_site_type_symbol
_atom_site_fract_x
_atom_site_fract_y
_atom_site_fract_z
Na1 Na 0.000 0.000 0.000
Tl1 Tl 0.186 0.000 0.373
Mo1 Mo 0.086 0.500 0.171
O1 O 0.000 0.500 0.000
O2 O 0.164 0.500 0.330
O3 O 0.168 0.250 0.836
```

The 10 most intense peaks (10 to 80 degrees two-theta), sorted by position:
| index | two_theta | I_rel |
| --- | --- | --- |
| 1 1 1 | 25.27 | 54 |
| 1 1 2 | 29.61 | 100 |
| 0 0 4 | 30.62 | 19 |
| 0 2 0 | 32.03 | 53 |
| 2 0 -5 | 44.90 | 20 |
| 2 2 -1 | 45.93 | 28 |
| 3 1 0 | 53.14 | 15 |
| 3 1 1 | 55.60 | 35 |
| 1 1 6 | 56.22 | 29 |
| 3 1 5 | 75.40 | 11 |